# 1
Starting from a crystal structure in Alexandria, relaxed with PBE, the X-ray powder pattern of SnAsHOs was calculated for Cu Kα.
No peak broadening, texture or thermal motion is included.

Most intense lines, 10° ≤ 2θ ≤ 80°, in order of rising 2θ:
two_theta	I (rel.)	(hkl)
17.43	1000	0 0 1
21.19	468	0 1 1
32.02	478	1 1 0
38.15	350	0 2 1
42.63	514	1 1 -1
52.41	300	1 2 3

Lattice parameters (Å, degrees): 3.215 4.990 5.725 64.26 73.78 71.26
Space group P1 (No. 1)
Unique sites:
1 Sn 0.000 0.000 0.000 x1
2 As 0.122 0.304 0.454 x1
3 H 0.789 0.634 0.783 x1
4 Os 0.692 0.503 0.112 x1

# 2
Starting from a crystal structure in Alexandria, relaxed with PBE, the X-ray powder pattern of AsPH2 was calculated for Cu Kα.
No peak broadening, texture or thermal motion is included.

Most intense lines, 10° ≤ 2θ ≤ 80°, in order of rising 2θ:
two_theta	I (rel.)	(hkl)
20.17	1000	0 0 1
23.40	298	1 1 0
29.79	184	1 1 -1
32.71	265	2 0 0
33.93	280	0 2 0
39.79	327	0 2 1

Lattice parameters (Å, degrees): 5.512 5.284 4.433 90.00 96.64 90.00
Space group Cm (No. 8)
Unique sites:
1 As 0.000 0.000 0.000 x2
2 P 0.070 0.500 0.990 x2
3 H 0.030 0.500 0.666 x2
4 H 0.044 0.000 0.350 x2

# 3
Starting from a crystal structure in Alexandria, relaxed with PBE, the X-ray powder pattern of Pa4AsH3Rh12 was calculated for Cu Kα.
No peak broadening, texture or thermal motion is included.

Most intense lines, 10° ≤ 2θ ≤ 80°, in order of rising 2θ:
two_theta	I (rel.)	(hkl)
30.09	211	2 2 0
37.08	1000	2 2 2
43.07	568	4 0 0
62.55	357	4 4 0
75.00	349	6 2 2
78.97	116	4 4 4

Lattice parameters (Å, degrees): 8.400 8.400 8.400 90.00 90.00 90.00
Space group Im-3m (No. 229)
Unique sites:
1 Pa 0.250 0.250 0.250 x8
2 As 0.000 0.000 0.000 x2
3 H 0.000 0.000 0.500 x6
4 Rh 0.000 0.000 0.278 x12
5 Rh 0.000 0.250 0.500 x12

# 4
Starting from a crystal structure in Alexandria, relaxed with PBE, the X-ray powder pattern of Pa2AsHRu6 was calculated for Cu Kα.
No peak broadening, texture or thermal motion is included.

Most intense lines, 10° ≤ 2θ ≤ 80°, in order of rising 2θ:
two_theta	I (rel.)	(hkl)
29.57	188	1 0 2
36.05	1000	1 1 2
40.98	497	2 0 0
43.60	172	0 0 4
61.38	248	2 0 4
71.44	287	3 1 2

Lattice parameters (Å, degrees): 4.405 4.405 8.303 90.00 90.00 90.00
Space group P4/mmm (No. 123)
Unique sites:
1 Pa 0.000 0.000 0.231 x2
2 As 0.500 0.500 0.500 x1
3 H 0.500 0.500 0.000 x1
4 Ru 0.000 0.500 0.000 x2
5 Ru 0.000 0.500 0.500 x2
6 Ru 0.500 0.500 0.221 x2

# 5
Starting from a crystal structure in Alexandria, relaxed with PBE, the X-ray powder pattern of AsHPb was calculated for Cu Kα.
No peak broadening, texture or thermal motion is included.

Most intense lines, 10° ≤ 2θ ≤ 80°, in order of rising 2θ:
two_theta	I (rel.)	(hkl)
29.55	739	0 0 3
30.32	635	1 1 2
30.57	1000	0 2 0
30.71	883	2 0 0
31.29	608	2 0 -1
43.88	676	2 2 0

Lattice parameters (Å, degrees): 5.854 5.850 9.116 90.00 95.85 90.00
Space group C2/m (No. 12)
Unique sites:
1 As 0.220 0.000 0.312 x4
2 H 0.044 0.500 0.972 x4
3 Pb 0.229 0.500 0.369 x4

# 6
Starting from a crystal structure in Alexandria, relaxed with PBE, the X-ray powder pattern of As2HPbSe was calculated for Cu Kα.
No peak broadening, texture or thermal motion is included.

Most intense lines, 10° ≤ 2θ ≤ 80°, in order of rising 2θ:
two_theta	I (rel.)	(hkl)
30.37	346	0 0 2
34.15	1000	1 1 1
43.63	303	2 0 0
54.09	272	2 0 2
56.42	238	1 1 3
74.05	215	3 1 1

Lattice parameters (Å, degrees): 4.148 4.148 5.887 90.00 90.00 90.00
Space group P4/mmm (No. 123)
Unique sites:
1 As 0.000 0.500 0.000 x2
2 H 0.000 0.000 0.000 x1
3 Pb 0.500 0.500 0.500 x1
4 Se 0.000 0.000 0.500 x1

# 7
Starting from a crystal structure in Alexandria, relaxed with PBE, the X-ray powder pattern of AsH5Pd4 was calculated for Cu Kα.
No peak broadening, texture or thermal motion is included.

Most intense lines, 10° ≤ 2θ ≤ 80°, in order of rising 2θ:
two_theta	I (rel.)	(hkl)
20.86	569	0 0 1
28.33	803	0 2 1
36.98	837	2 2 0
38.46	802	0 4 0
39.29	1000	2 1 1
46.88	862	0 2 2

Lattice parameters (Å, degrees): 5.689 9.363 4.258 90.00 90.00 90.00
Space group Pmmn (No. 59, origin choice 2)
Unique sites:
1 As 0.250 0.250 0.243 x2
2 H 0.007 0.558 0.243 x8
3 H 0.250 0.750 0.504 x2
4 Pd 0.001 0.250 0.732 x4
5 Pd 0.250 0.003 0.005 x4

# 8
Starting from a crystal structure in Alexandria, relaxed with PBE, the X-ray powder pattern of AsHPd3 was calculated for Cu Kα.
No peak broadening, texture or thermal motion is included.

Most intense lines, 10° ≤ 2θ ≤ 80°, in order of rising 2θ:
two_theta	I (rel.)	(hkl)
30.96	437	1 0 2
33.50	674	2 1 0
37.72	1000	0 3 1
41.71	896	2 2 1
43.53	396	1 0 3
49.88	488	1 2 3

Lattice parameters (Å, degrees): 5.709 7.657 6.698 90.00 90.00 90.00
Space group Pnma (No. 62)
Unique sites:
1 As 0.000 0.000 0.000 x4
2 H 0.024 0.250 0.492 x4
3 Pd 0.107 0.250 0.753 x4
4 Pd 0.128 0.071 0.340 x8

# 9
Starting from a crystal structure in Alexandria, relaxed with PBE, the X-ray powder pattern of PmAsHPd was calculated for Cu Kα.
No peak broadening, texture or thermal motion is included.

Most intense lines, 10° ≤ 2θ ≤ 80°, in order of rising 2θ:
two_theta	I (rel.)	(hkl)
32.77	1000	1 0 1
41.31	508	1 1 0
45.97	120	0 0 2
53.70	245	0 2 1
63.50	271	1 1 2
69.93	220	2 1 1

Lattice parameters (Å, degrees): 4.3709 4.3709 3.9489 90.00 90.00 120.00
Space group P3m1 (No. 156)
Unique sites:
1 Pm 0.0000 0.0000 0.0000 x1
2 As 0.3333 0.6667 0.5215 x1
3 H 0.6667 0.3333 0.0101 x1
4 Pd 0.6667 0.3333 0.4810 x1

# 10
Starting from a crystal structure in Alexandria, relaxed with PBE, the X-ray powder pattern of ThAsH2Pd2 was calculated for Cu Kα.
No peak broadening, texture or thermal motion is included.

Most intense lines, 10° ≤ 2θ ≤ 80°, in order of rising 2θ:
two_theta	I (rel.)	(hkl)
23.29	567	1 1 1
33.57	446	1 3 1
33.97	330	0 4 0
34.60	1000	2 2 0
36.07	890	0 2 2
44.21	603	2 0 2

Lattice parameters (Å, degrees): 5.952 10.555 5.649 90.00 90.00 90.00
Space group Cmcm (No. 63)
Unique sites:
1 Th 0.000 0.232 0.250 x4
2 As 0.000 0.335 0.750 x4
3 H 0.205 0.097 0.750 x8
4 Pd 0.243 0.000 0.000 x8

# 11
Starting from a crystal structure in Alexandria, relaxed with PBE, the X-ray powder pattern of U3As2H4Pd2 was calculated for Cu Kα.
No peak broadening, texture or thermal motion is included.

Most intense lines, 10° ≤ 2θ ≤ 80°, in order of rising 2θ:
two_theta	I (rel.)	(hkl)
26.29	221	0 0 6
32.10	1000	1 1 0
38.48	855	1 0 7
41.95	278	1 1 6
46.03	379	2 0 0
61.50	441	2 1 7

Lattice parameters (Å, degrees): 3.944 3.944 20.339 90.00 90.00 90.00
Space group I4/mmm (No. 139)
Unique sites:
1 U 0.000 0.000 0.000 x2
2 U 0.000 0.000 0.161 x4
3 As 0.000 0.000 0.303 x4
4 H 0.000 0.500 0.078 x8
5 Pd 0.000 0.000 0.432 x4

# 12
Starting from a crystal structure in Alexandria, relaxed with PBE, the X-ray powder pattern of Pm2AsH2 was calculated for Cu Kα.
No peak broadening, texture or thermal motion is included.

Most intense lines, 10° ≤ 2θ ≤ 80°, in order of rising 2θ:
two_theta	I (rel.)	(hkl)
25.53	369	0 2 2
29.93	1000	2 2 0
30.75	470	1 1 3
36.88	281	0 4 0
47.47	260	2 2 4
62.20	246	2 6 0

Lattice parameters (Å, degrees): 7.552 9.749 9.989 90.00 90.00 90.00
Space group Fddd (No. 70, origin choice 2)
Unique sites:
1 Pm 0.125 0.125 0.338 x16
2 As 0.125 0.125 0.625 x8
3 H 0.125 0.005 0.125 x16

# 13
Starting from a crystal structure in Alexandria, relaxed with PBE, the X-ray powder pattern of Pr5As4H was calculated for Cu Kα.
No peak broadening, texture or thermal motion is included.

Most intense lines, 10° ≤ 2θ ≤ 80°, in order of rising 2θ:
two_theta	I (rel.)	(hkl)
25.62	293	1 2 1
29.67	1000	3 1 0
42.46	745	2 4 0
52.66	262	2 4 2
69.91	222	5 5 0
77.73	163	5 5 2

Lattice parameters (Å, degrees): 9.512 9.512 6.032 90.00 90.00 90.00
Space group I4 (No. 79)
Unique sites:
1 Pr 0.000 0.000 0.000 x2
2 Pr 0.104 0.694 0.536 x8
3 As 0.099 0.702 0.036 x8
4 H 0.000 0.000 0.587 x2

# 14
Starting from a crystal structure in Alexandria, relaxed with PBE, the X-ray powder pattern of PuAsH was calculated for Cu Kα.
No peak broadening, texture or thermal motion is included.

Most intense lines, 10° ≤ 2θ ≤ 80°, in order of rising 2θ:
two_theta	I (rel.)	(hkl)
26.91	545	1 0 0
35.62	1000	1 0 1
47.53	279	1 1 0
54.80	163	1 0 2
60.78	219	2 0 1
68.90	187	1 1 2

Lattice parameters (Å, degrees): 3.8261 3.8261 3.8835 90.00 90.00 120.00
Space group P-6m2 (No. 187)
Unique sites:
1 Pu 0.0000 0.0000 0.0000 x1
2 As 0.6667 0.3333 0.5000 x1
3 H 0.3333 0.6667 0.0000 x1